Entry 1:
The following is a calculated PXRD pattern of Ba3Cd3Ga. It was derived from the GGA-PBE geometry in Alexandria, using CuKα.

Peak list (10 most intense, 5° ≤ 2θ ≤ 70°, most intense first)
two_theta, intensity, (hkl)
27.01, 100, 1 1 -4
28.26, 61, 3 1 -1
33.95, 47, 3 1 2
36.01, 46, 0 2 0
32.51, 36, 0 0 6
23.45, 24, 1 1 2
28.96, 24, 4 0 -2
33.42, 24, 4 0 -5
49.30, 24, 0 2 6
31.35, 21, 3 1 -4

```
data_Ba3Cd3Ga
_chemical_formula_sum 'Ba12 Cd12 Ga4'
_symmetry_space_group_name_H-M 'C 1 2/m 1'
_symmetry_Int_Tables_number 12
_symmetry_space_group_name_Hall '-C 2y'
_cell_length_a 12.3333
_cell_length_b 4.9876
_cell_length_c 17.5949
_cell_angle_alpha 90.00
_cell_angle_beta 110.06
_cell_angle_gamma 90.00
loop_
_atom_site_label
_atom_site_fract_x
_atom_site_fract_y
_atom_site_fract_z
Ba1 0.0481 0.0000 0.3958
Ba2 0.0987 0.0000 0.9180
Ba3 0.2334 0.5000 0.7592
Cd1 0.0623 0.5000 0.2422
Cd2 0.1065 0.5000 0.0800
Cd3 0.1417 0.5000 0.5423
Ga1 0.2500 0.0000 0.6032
```

***

Entry 2:
The following is a calculated PXRD pattern of Ba2Cd5Ga3. It was derived from the GGA-PBE geometry in Alexandria, using CuKα.

Peak list (10 most intense, 5° ≤ 2θ ≤ 70°, most intense first)
two_theta, intensity, (hkl)
30.58, 100, 1 1 2
38.05, 57, 2 0 0
29.19, 40, 1 0 3
40.32, 23, 1 1 4
64.16, 23, 3 1 2
42.13, 22, 1 0 5
54.90, 19, 2 2 0
48.66, 19, 2 1 3
58.05, 17, 2 1 5
53.26, 10, 1 1 6

```
data_Ba2Cd5Ga3
_chemical_formula_sum 'Ba2 Cd5 Ga3'
_symmetry_space_group_name_H-M 'P -4 m 2'
_symmetry_Int_Tables_number 115
_symmetry_space_group_name_Hall 'P -4 -2'
_cell_length_a 4.7301
_cell_length_b 4.7301
_cell_length_c 12.0339
_cell_angle_alpha 90.00
_cell_angle_beta 90.00
_cell_angle_gamma 90.00
loop_
_atom_site_label
_atom_site_fract_x
_atom_site_fract_y
_atom_site_fract_z
Ba1 0.0000 0.5000 0.2319
Cd1 0.0000 0.0000 0.5000
Cd2 0.0000 0.5000 0.6490
Cd3 0.5000 0.5000 0.0000
Cd4 0.5000 0.5000 0.5000
Ga1 0.0000 0.0000 0.0000
Ga2 0.0000 0.5000 0.8799
```

***

Entry 3:
The following is a calculated PXRD pattern of Ba6Cd3Ga. It was derived from the GGA-PBE geometry in Alexandria, using CuKα.

Peak list (10 most intense, 5° ≤ 2θ ≤ 70°, most intense first)
two_theta, intensity, (hkl)
28.52, 100, 1 1 3
29.15, 92, 3 1 -1
30.55, 71, 0 2 0
25.27, 32, 2 1 1
27.49, 31, 2 0 -4
27.16, 24, 2 1 -3
41.56, 20, 2 2 -4
53.45, 18, 3 3 -1
53.06, 17, 1 3 3
31.52, 15, 2 1 -4

```
data_Ba6Cd3Ga
_chemical_formula_sum 'Ba12 Cd6 Ga2'
_symmetry_space_group_name_H-M 'P 1 21/m 1'
_symmetry_Int_Tables_number 11
_symmetry_space_group_name_Hall '-P 2yb'
_cell_length_a 10.7882
_cell_length_b 5.8517
_cell_length_c 13.8497
_cell_angle_alpha 90.00
_cell_angle_beta 106.58
_cell_angle_gamma 90.00
loop_
_atom_site_label
_atom_site_fract_x
_atom_site_fract_y
_atom_site_fract_z
Ba1 0.0134 0.2500 0.1172
Ba2 0.1424 0.2500 0.6861
Ba3 0.2444 0.7500 0.5173
Ba4 0.3659 0.7500 0.1227
Ba5 0.3708 0.2500 0.3590
Ba6 0.3862 0.7500 0.8386
Cd1 0.0492 0.2500 0.3879
Cd2 0.1497 0.7500 0.2585
Cd3 0.2840 0.2500 0.9660
Ga1 0.4380 0.2500 0.6388
```

***

Entry 4:
The following is a calculated PXRD pattern of BaCd2Ga4. It was derived from the GGA-PBE geometry in Alexandria, using CuKα.

Peak list (10 most intense, 5° ≤ 2θ ≤ 70°, most intense first)
two_theta, intensity, (hkl)
29.37, 100, 2 2 0
40.03, 87, 0 2 2
32.85, 46, 4 0 -2
32.99, 46, 2 0 2
66.52, 25, 4 4 -2
27.60, 22, 3 1 1
36.51, 21, 5 1 1
31.74, 20, 5 1 -1
33.35, 20, 6 0 0
41.40, 18, 7 1 -1

```
data_BaCd2Ga4
_chemical_formula_sum 'Ba4 Cd8 Ga16'
_symmetry_space_group_name_H-M 'C 1 2/c 1'
_symmetry_Int_Tables_number 15
_symmetry_space_group_name_Hall '-C 2yc'
_cell_length_a 16.4454
_cell_length_b 6.5678
_cell_length_c 6.3101
_cell_angle_alpha 90.00
_cell_angle_beta 101.33
_cell_angle_gamma 90.00
loop_
_atom_site_label
_atom_site_fract_x
_atom_site_fract_y
_atom_site_fract_z
Ba1 0.0000 0.2462 0.2500
Cd1 0.1880 0.0164 0.5880
Ga1 0.0829 0.2527 0.7957
Ga2 0.1668 0.5002 0.0885
```

***

Entry 5:
The following is a calculated PXRD pattern of BaCd2InGa. It was derived from the GGA-PBE geometry in Alexandria, using CuKα.

Peak list (10 most intense, 5° ≤ 2θ ≤ 70°, most intense first)
two_theta, intensity, (hkl)
30.25, 100, 1 1 2
37.09, 28, 0 2 0
37.98, 26, 2 0 0
40.02, 24, 1 1 4
29.13, 22, 1 0 3
54.13, 18, 2 2 0
28.85, 18, 0 1 3
41.82, 14, 0 1 5
62.66, 12, 1 3 2
63.88, 11, 3 1 2

```
data_BaCd2InGa
_chemical_formula_sum 'Ba2 Cd4 In2 Ga2'
_symmetry_space_group_name_H-M 'I m m 2'
_symmetry_Int_Tables_number 44
_symmetry_space_group_name_Hall 'I 2 -2'
_cell_length_a 4.7385
_cell_length_b 4.8481
_cell_length_c 12.0626
_cell_angle_alpha 90.00
_cell_angle_beta 90.00
_cell_angle_gamma 90.00
loop_
_atom_site_label
_atom_site_fract_x
_atom_site_fract_y
_atom_site_fract_z
Ba1 0.0000 0.0000 0.0000
Cd1 0.0000 0.0000 0.6134
Cd2 0.0000 0.5000 0.2617
In1 0.0000 0.5000 0.7553
Ga1 0.0000 0.0000 0.3874
```

***

Entry 6:
The following is a calculated PXRD pattern of Ba2Mg6CdGa. It was derived from the GGA-PBE geometry in Alexandria, using CuKα.

Peak list (10 most intense, 5° ≤ 2θ ≤ 70°, most intense first)
two_theta, intensity, (hkl)
24.11, 100, 2 1 1
49.39, 40, 2 -2 0
33.65, 38, 0 2 2
23.12, 38, 1 0 -1
27.90, 35, 2 1 0
27.02, 35, 1 1 -1
35.51, 24, 1 1 3
27.84, 22, 1 -1 1
42.42, 19, 3 3 2
41.81, 19, 3 1 0

```
data_Ba2Mg6CdGa
_chemical_formula_sum 'Ba2 Mg6 Cd1 Ga1'
_symmetry_space_group_name_H-M 'P -1'
_symmetry_Int_Tables_number 2
_symmetry_space_group_name_Hall '-P 1'
_cell_length_a 7.3757
_cell_length_b 7.3830
_cell_length_c 7.7010
_cell_angle_alpha 61.51
_cell_angle_beta 61.41
_cell_angle_gamma 60.05
loop_
_atom_site_label
_atom_site_fract_x
_atom_site_fract_y
_atom_site_fract_z
Ba1 0.2061 0.2059 0.3814
Mg1 0.2446 0.2459 0.8516
Mg2 0.2446 0.6576 0.8514
Mg3 0.3419 0.7563 0.1487
Cd1 0.5000 0.5000 0.5000
Ga1 0.0000 0.0000 0.0000
```

***

Entry 7:
The following is a calculated PXRD pattern of BaCdGaP2. It was derived from the GGA-PBE geometry in Alexandria, using CuKα.

Peak list (10 most intense, 5° ≤ 2θ ≤ 70°, most intense first)
two_theta, intensity, (hkl)
25.26, 100, 1 1 1
25.59, 88, 2 0 0
37.71, 88, 1 2 0
20.98, 68, 0 1 1
30.87, 63, 1 1 -2
32.98, 60, 1 1 2
32.29, 55, 2 1 -1
29.17, 53, 0 1 2
34.32, 44, 2 1 1
39.45, 40, 0 1 3

```
data_BaCdGaP2
_chemical_formula_sum 'Ba2 Cd2 Ga2 P4'
_symmetry_space_group_name_H-M 'P 1 2/c 1'
_symmetry_Int_Tables_number 13
_symmetry_space_group_name_Hall '-P 2yc'
_cell_length_a 7.0029
_cell_length_b 5.0785
_cell_length_c 7.7186
_cell_angle_alpha 90.00
_cell_angle_beta 96.28
_cell_angle_gamma 90.00
loop_
_atom_site_label
_atom_site_fract_x
_atom_site_fract_y
_atom_site_fract_z
Ba1 0.0000 0.2314 0.2500
Cd1 0.5000 0.4608 0.2500
Ga1 0.5000 0.0000 0.0000
P1 0.2546 0.2693 0.9151
```

***

Entry 8:
The following is a calculated PXRD pattern of BaCdGa2Ru. It was derived from the GGA-PBE geometry in Alexandria, using CuKα.

Peak list (10 most intense, 5° ≤ 2θ ≤ 70°, most intense first)
two_theta, intensity, (hkl)
30.97, 100, 1 1 1
36.87, 91, 2 0 0
50.96, 71, 2 0 2
33.92, 57, 0 0 2
25.84, 39, 1 1 0
64.54, 34, 2 2 2
53.13, 31, 2 2 0
24.84, 30, 1 0 1
62.77, 25, 3 1 1
43.13, 19, 1 1 2

```
data_BaCdGa2Ru
_chemical_formula_sum 'Ba1 Cd1 Ga2 Ru1'
_symmetry_space_group_name_H-M 'P 4/m m m'
_symmetry_Int_Tables_number 123
_symmetry_space_group_name_Hall '-P 4 2'
_cell_length_a 4.8761
_cell_length_b 4.8761
_cell_length_c 5.2859
_cell_angle_alpha 90.00
_cell_angle_beta 90.00
_cell_angle_gamma 90.00
loop_
_atom_site_label
_atom_site_fract_x
_atom_site_fract_y
_atom_site_fract_z
Ba1 0.0000 0.0000 0.0000
Cd1 0.5000 0.5000 0.0000
Ga1 0.0000 0.5000 0.5000
Ru1 0.5000 0.5000 0.5000
```

***

Entry 9:
The following is a calculated PXRD pattern of Ba2Tl4Cd3Ga. It was derived from the GGA-PBE geometry in Alexandria, using CuKα.

Peak list (10 most intense, 5° ≤ 2θ ≤ 70°, most intense first)
two_theta, intensity, (hkl)
28.97, 100, 1 1 2
35.51, 82, 2 0 0
28.21, 60, 1 0 3
38.88, 53, 1 1 4
45.96, 32, 2 1 3
51.10, 29, 2 2 0
41.17, 28, 1 0 5
59.82, 26, 3 1 2
55.48, 23, 2 1 5
66.02, 22, 3 1 4

```
data_Ba2Tl4Cd3Ga
_chemical_formula_sum 'Ba2 Tl4 Cd3 Ga1'
_symmetry_space_group_name_H-M 'P -4 m 2'
_symmetry_Int_Tables_number 115
_symmetry_space_group_name_Hall 'P -4 -2'
_cell_length_a 5.0554
_cell_length_b 5.0554
_cell_length_c 12.1661
_cell_angle_alpha 90.00
_cell_angle_beta 90.00
_cell_angle_gamma 90.00
loop_
_atom_site_label
_atom_site_fract_x
_atom_site_fract_y
_atom_site_fract_z
Ba1 0.0000 0.5000 0.2411
Tl1 0.0000 0.0000 0.5000
Tl2 0.0000 0.5000 0.8748
Tl3 0.5000 0.5000 0.5000
Cd1 0.0000 0.0000 0.0000
Cd2 0.0000 0.5000 0.6372
Ga1 0.5000 0.5000 0.0000
```

***

Entry 10:
The following is a calculated PXRD pattern of Ba2TlCd3Ga4. It was derived from the GGA-PBE geometry in Alexandria, using CuKα.

Peak list (10 most intense, 5° ≤ 2θ ≤ 70°, most intense first)
two_theta, intensity, (hkl)
30.51, 100, 1 1 2
37.47, 62, 2 0 0
29.66, 48, 1 0 3
40.92, 26, 1 1 4
63.34, 24, 3 1 2
48.50, 24, 2 1 3
43.30, 22, 1 0 5
54.04, 21, 2 2 0
58.57, 18, 2 1 5
54.61, 14, 1 1 6

```
data_Ba2TlCd3Ga4
_chemical_formula_sum 'Ba2 Tl1 Cd3 Ga4'
_symmetry_space_group_name_H-M 'P -4 m 2'
_symmetry_Int_Tables_number 115
_symmetry_space_group_name_Hall 'P -4 -2'
_cell_length_a 4.7998
_cell_length_b 4.7998
_cell_length_c 11.6056
_cell_angle_alpha 90.00
_cell_angle_beta 90.00
_cell_angle_gamma 90.00
loop_
_atom_site_label
_atom_site_fract_x
_atom_site_fract_y
_atom_site_fract_z
Ba1 0.0000 0.5000 0.2452
Tl1 0.0000 0.0000 0.5000
Cd1 0.0000 0.5000 0.8746
Cd2 0.5000 0.5000 0.5000
Ga1 0.0000 0.0000 0.0000
Ga2 0.0000 0.5000 0.6400
Ga3 0.5000 0.5000 0.0000
```

***

Entry 11:
The following is a calculated PXRD pattern of BaGdMgCd. It was derived from the GGA-PBE geometry in Alexandria, using CuKα.

Peak list (10 most intense, 5° ≤ 2θ ≤ 70°, most intense first)
two_theta, intensity, (hkl)
31.31, 100, 2 2 0
55.73, 38, 4 2 2
44.87, 18, 4 0 0
22.00, 14, 2 0 0
65.32, 12, 4 4 0
19.02, 10, 1 1 1
50.51, 6, 4 2 0
36.89, 6, 3 1 1
38.59, 4, 2 2 2
69.83, 3, 6 0 0

```
data_BaGdMgCd
_chemical_formula_sum 'Ba4 Gd4 Mg4 Cd4'
_symmetry_space_group_name_H-M 'F -4 3 m'
_symmetry_Int_Tables_number 216
_symmetry_space_group_name_Hall 'F -4 2 3'
_cell_length_a 8.0810
_cell_length_b 8.0810
_cell_length_c 8.0810
_cell_angle_alpha 90.00
_cell_angle_beta 90.00
_cell_angle_gamma 90.00
loop_
_atom_site_label
_atom_site_fract_x
_atom_site_fract_y
_atom_site_fract_z
Ba1 0.0000 0.0000 0.0000
Gd1 0.0000 0.0000 0.5000
Mg1 0.2500 0.2500 0.2500
Cd1 0.2500 0.2500 0.7500
```

***

Entry 12:
The following is a calculated PXRD pattern of Ba5CdGe2. It was derived from the GGA-PBE geometry in Alexandria, using CuKα.

Peak list (10 most intense, 5° ≤ 2θ ≤ 70°, most intense first)
two_theta, intensity, (hkl)
27.45, 100, 2 1 3
28.79, 87, 2 0 4
32.51, 56, 3 1 0
48.93, 31, 3 3 4
24.80, 27, 1 1 4
53.15, 24, 3 1 8
34.26, 24, 2 1 5
29.00, 24, 2 2 0
23.39, 23, 2 1 1
57.88, 19, 5 1 4

```
data_Ba5CdGe2
_chemical_formula_sum 'Ba20 Cd4 Ge8'
_symmetry_space_group_name_H-M 'I 4/m c m'
_symmetry_Int_Tables_number 140
_symmetry_space_group_name_Hall '-I 4 2c'
_cell_length_a 8.7091
_cell_length_b 8.7091
_cell_length_c 17.6736
_cell_angle_alpha 90.00
_cell_angle_beta 90.00
_cell_angle_gamma 90.00
loop_
_atom_site_label
_atom_site_fract_x
_atom_site_fract_y
_atom_site_fract_z
Ba1 0.0000 0.0000 0.0000
Ba2 0.1736 0.3264 0.1348
Cd1 0.0000 0.0000 0.2500
Ge1 0.1079 0.3921 0.5000
```

***

Entry 13:
The following is a calculated PXRD pattern of Ba2CdGe. It was derived from the GGA-PBE geometry in Alexandria, using CuKα.

Peak list (10 most intense, 5° ≤ 2θ ≤ 70°, most intense first)
two_theta, intensity, (hkl)
27.21, 100, 1 1 -2
27.38, 99, 0 1 2
33.31, 74, 2 1 -2
33.72, 66, 1 1 2
32.75, 64, 2 1 0
36.56, 59, 0 2 0
38.84, 49, 1 0 -4
28.24, 48, 1 0 2
27.10, 46, 2 0 0
27.75, 46, 2 0 -2

```
data_Ba2CdGe
_chemical_formula_sum 'Ba4 Cd2 Ge2'
_symmetry_space_group_name_H-M 'P 1 21/m 1'
_symmetry_Int_Tables_number 11
_symmetry_space_group_name_Hall '-P 2yb'
_cell_length_a 7.0158
_cell_length_b 4.9156
_cell_length_c 9.2749
_cell_angle_alpha 90.00
_cell_angle_beta 110.28
_cell_angle_gamma 90.00
loop_
_atom_site_label
_atom_site_fract_x
_atom_site_fract_y
_atom_site_fract_z
Ba1 0.2093 0.2500 0.4311
Ba2 0.2290 0.2500 0.9257
Cd1 0.3641 0.7500 0.2215
Ge1 0.3626 0.7500 0.7110
```

***

Entry 14:
The following is a calculated PXRD pattern of BaCdGe. It was derived from the GGA-PBE geometry in Alexandria, using CuKα.

Peak list (10 most intense, 5° ≤ 2θ ≤ 70°, most intense first)
two_theta, intensity, (hkl)
28.50, 100, 1 1 1
27.78, 42, 0 2 1
37.60, 39, 1 3 0
53.10, 28, 1 3 2
36.08, 26, 0 0 2
39.24, 21, 2 0 0
48.76, 18, 2 2 1
54.36, 16, 2 0 2
60.31, 12, 1 1 3
46.93, 10, 0 4 1

```
data_BaCdGe
_chemical_formula_sum 'Ba2 Cd2 Ge2'
_symmetry_space_group_name_H-M 'P m a 2'
_symmetry_Int_Tables_number 28
_symmetry_space_group_name_Hall 'P 2 -2a'
_cell_length_a 4.5917
_cell_length_b 8.4064
_cell_length_c 4.9789
_cell_angle_alpha 90.00
_cell_angle_beta 90.00
_cell_angle_gamma 90.00
loop_
_atom_site_label
_atom_site_fract_x
_atom_site_fract_y
_atom_site_fract_z
Ba1 0.2500 0.2188 0.0000
Cd1 0.2500 0.5960 0.4996
Ge1 0.2500 0.9217 0.5005
```